No. 1
Computed X-ray powder pattern of NdInHg3Te4 for Cu Ka, from a DFT-relaxed cell (GGA-PBE, OQMD).

Most intense lines, 2θ from 10° to 90°, low angle first:
12.2 deg, I 23; 21.1 deg, I 73; 34.9 deg, I 100; 41.1 deg, I 39; 50.1 deg, I 18; 55.0 deg, I 16; 62.5 deg, I 36; 84.1 deg, I 15

Atomic structure:
```
NdInHg3Te4
1.0
7.280 0.000 0.000
0.000 7.280 0.000
0.000 0.000 7.280
Nd In Hg Te
1 1 3 4
direct
0.000 0.000 0.000 Nd
0.500 0.500 0.500 In
0.000 0.000 0.500 Hg
0.000 0.500 0.000 Hg
0.500 0.000 0.000 Hg
0.237 0.237 0.763 Te
0.237 0.763 0.237 Te
0.763 0.237 0.237 Te
0.763 0.763 0.763 Te
```

No. 2
Computed X-ray powder pattern of Sm4CI3F2 for Cu Ka, from a DFT-relaxed cell (GGA-PBE, OQMD).

Most intense lines, 2θ from 10° to 90°, low angle first:
10.5 deg, I 90; 23.7 deg, I 27; 26.0 deg, I 25; 28.9 deg, I 22; 30.3 deg, I 43; 31.3 deg, I 100; 35.1 deg, I 30; 42.1 deg, I 27

Atomic structure:
```
Sm4CI3F2
1.0
8.901 -1.942 0.000
8.901 1.942 0.000
-0.912 0.000 8.436
Sm C I F
4 1 3 2
direct
0.002 0.002 0.304 Sm
0.363 0.363 0.433 Sm
0.637 0.637 0.567 Sm
0.998 0.998 0.696 Sm
0.500 0.500 0.500 C
0.180 0.180 0.296 I
0.500 0.500 0.000 I
0.820 0.820 0.704 I
0.134 0.134 0.729 F
0.866 0.866 0.271 F
```